Calculated PXRD pattern of Ag3RuO4 for a wavelength of 1.5418 Å, from a GGA-PBE-relaxed structure.
Lines closer than 0.1° are merged.

Cell and atoms:
```
data_Ag3RuO4
_chemical_formula_sum 'Ag12 Ru4 O16'
_space_group_name_H-M_alt 'P 41 2 2'
_space_group_IT_number 91
_space_group_name_Hall 'P 4w 2c'
_cell_length_a 7.3032
_cell_length_b 7.3032
_cell_length_c 8.4155
_cell_angle_alpha 90.00
_cell_angle_beta 90.00
_cell_angle_gamma 90.00
loop_
_atom_site_label
_atom_site_type_symbol
_atom_site_fract_x
_atom_site_fract_y
_atom_site_fract_z
Ag1 Ag 0.0000 0.1845 0.0000
Ag2 Ag 0.0000 0.2537 0.5000
Ag3 Ag 0.2007 0.5000 0.2500
Ru1 Ru 0.2836 0.5000 0.7500
O1 O 0.0957 0.3096 0.7377
O2 O 0.3082 0.4829 0.9846
```

Main lines, low angle first (2θ from 5° to 70°):
| index | 2θ/deg | d (Å) | intensity |
| --- | --- | --- | --- |
| 2 1 1 | 29.33 | 3.045 | 18.6 |
| 2 0 2 | 32.46 | 2.758 | 100.0 |
| 2 2 0 | 34.74 | 2.582 | 55.1 |
| 0 0 4 | 42.98 | 2.104 | 26.1 |
| 4 0 0 | 49.96 | 1.826 | 14.1 |
| 4 1 1 | 52.82 | 1.733 | 9.1 |
| 2 2 4 | 56.41 | 1.631 | 25.3 |
| 4 2 2 | 60.85 | 1.522 | 19.6 |
| 4 1 3 | 61.98 | 1.497 | 7.2 |
| 4 0 4 | 67.98 | 1.379 | 9.9 |

***

Calculated PXRD pattern of Mn3Al4Si2 for a wavelength of 1.5418 Å, from a GGA-PBE-relaxed structure.
Lines closer than 0.1° are merged.

Cell and atoms:
```
data_Mn3Al4Si2
_chemical_formula_sum 'Mn12 Al16 Si8'
_space_group_name_H-M_alt 'C 1 2 1'
_space_group_IT_number 5
_space_group_name_Hall 'C 2y'
_cell_length_a 4.5635
_cell_length_b 7.8486
_cell_length_c 12.9620
_cell_angle_alpha 90.00
_cell_angle_beta 99.86
_cell_angle_gamma 90.00
loop_
_atom_site_label
_atom_site_type_symbol
_atom_site_fract_x
_atom_site_fract_y
_atom_site_fract_z
Mn1 Mn 0.0000 0.0000 0.0000
Mn2 Mn 0.0000 0.2470 0.5000
Mn3 Mn 0.1657 0.7474 0.8333
Mn4 Mn 0.1738 0.4984 0.3384
Al1 Al 0.0000 0.3276 0.0000
Al2 Al 0.0000 0.6665 0.0000
Al3 Al 0.1648 0.4181 0.8316
Al4 Al 0.1659 0.1669 0.3325
Al5 Al 0.1667 0.8266 0.3358
Si1 Si 0.0000 0.5777 0.5000
Si2 Si 0.0000 0.9196 0.5000
Si3 Si 0.1674 0.0759 0.8326
```

Main lines, low angle first (2θ from 5° to 70°):
| index | 2θ/deg | d (Å) | intensity |
| --- | --- | --- | --- |
| 1 1 1 | 24.87 | 3.580 | 28.3 |
| 0 2 3 | 30.99 | 2.885 | 12.6 |
| 1 3 1 | 41.16 | 2.193 | 100.0 |
| 0 0 6 | 42.47 | 2.128 | 45.3 |
| 2 0 2 | 44.99 | 2.015 | 38.1 |
| 2 0 -4 | 45.18 | 2.007 | 37.8 |
| 1 3 4 | 51.50 | 1.775 | 24.7 |
| 1 3 -5 | 51.63 | 1.770 | 25.0 |
| 1 3 7 | 68.85 | 1.364 | 10.0 |
| 1 3 -8 | 69.04 | 1.360 | 9.8 |

***

Calculated PXRD pattern of Na2Ti2Si2SO12 for a wavelength of 1.5418 Å, from a GGA-PBE-relaxed structure.
Lines closer than 0.1° are merged.

Cell and atoms:
```
data_Na2Ti2Si2SO12
_chemical_formula_sum 'Na8 Ti8 Si8 S4 O48'
_space_group_name_H-M_alt 'C 1 c 1'
_space_group_IT_number 9
_space_group_name_Hall 'C -2yc'
_cell_length_a 15.3031
_cell_length_b 8.8330
_cell_length_c 9.0142
_cell_angle_alpha 90.00
_cell_angle_beta 124.79
_cell_angle_gamma 90.00
loop_
_atom_site_label
_atom_site_type_symbol
_atom_site_fract_x
_atom_site_fract_y
_atom_site_fract_z
Na1 Na 0.0000 0.0632 0.0000
Na2 Na 0.0743 0.2607 0.7405
Ti1 Ti 0.2069 0.2491 0.1759
Ti2 Ti 0.4108 0.2650 0.8033
Si1 Si 0.1666 0.1075 0.4846
Si2 Si 0.3068 0.4603 0.9884
S1 S 0.4552 0.1024 0.4894
O1 O 0.0456 0.3207 0.9974
O2 O 0.0651 0.1866 0.4717
O3 O 0.1586 0.0758 0.0062
O4 O 0.1626 0.1367 0.3011
O5 O 0.2283 0.3528 0.0075
O6 O 0.2436 0.4222 0.3183
O7 O 0.2780 0.1796 0.6571
O8 O 0.3596 0.1699 0.3258
O9 O 0.3899 0.4391 0.6714
O10 O 0.3909 0.3581 0.9695
O11 O 0.4598 0.1338 0.6539
O12 O 0.4623 0.0615 0.9725
```

Main lines, low angle first (2θ from 5° to 70°):
| index | 2θ/deg | d (Å) | intensity |
| --- | --- | --- | --- |
| 1 1 -1 | 14.05 | 6.305 | 33.5 |
| 2 0 -2 | 19.74 | 4.497 | 58.7 |
| 3 1 -1 | 20.10 | 4.417 | 55.1 |
| 0 2 1 | 23.43 | 3.797 | 100.0 |
| 3 1 0 | 23.50 | 3.785 | 45.4 |
| 2 2 -2 | 28.30 | 3.154 | 25.2 |
| 5 1 -2 | 31.19 | 2.868 | 36.4 |
| 0 2 2 | 31.50 | 2.840 | 71.0 |
| 3 1 1 | 31.61 | 2.830 | 36.5 |
| 3 3 -1 | 35.19 | 2.550 | 43.4 |

***

Calculated PXRD pattern of In2CuSe3I for a wavelength of 1.5418 Å, from a GGA-PBE-relaxed structure.
Lines closer than 0.1° are merged.

Cell and atoms:
```
data_In2CuSe3I
_chemical_formula_sum 'In4 Cu2 Se6 I2'
_space_group_name_H-M_alt 'C 1 m 1'
_space_group_IT_number 8
_space_group_name_Hall 'C -2y'
_cell_length_a 14.2237
_cell_length_b 4.1882
_cell_length_c 7.3161
_cell_angle_alpha 90.00
_cell_angle_beta 100.05
_cell_angle_gamma 90.00
loop_
_atom_site_label
_atom_site_type_symbol
_atom_site_fract_x
_atom_site_fract_y
_atom_site_fract_z
In1 In 0.0000 0.0000 0.0000
In2 In 0.2427 0.0000 0.7492
Cu1 Cu 0.0036 0.5000 0.4993
Se1 Se 0.0542 0.0000 0.6660
Se2 Se 0.0607 0.5000 0.2034
Se3 Se 0.3073 0.5000 0.9568
I1 I 0.3149 0.0000 0.4218
```

Main lines, low angle first (2θ from 5° to 70°):
| index | 2θ/deg | d (Å) | intensity |
| --- | --- | --- | --- |
| 1 1 0 | 22.15 | 4.013 | 16.2 |
| 4 0 0 | 25.44 | 3.501 | 53.9 |
| 2 0 -2 | 25.76 | 3.458 | 51.3 |
| 1 1 1 | 25.95 | 3.433 | 100.0 |
| 6 0 -2 | 42.30 | 2.136 | 25.4 |
| 5 1 1 | 42.50 | 2.127 | 51.8 |
| 1 1 -3 | 42.91 | 2.107 | 48.4 |
| 0 2 0 | 43.20 | 2.094 | 25.3 |
| 7 1 -1 | 50.13 | 1.820 | 23.2 |
| 6 2 -2 | 62.06 | 1.496 | 15.8 |

***

Calculated PXRD pattern of DySCl for a wavelength of 1.5418 Å, from a GGA-PBE-relaxed structure.
Lines closer than 0.1° are merged.

Cell and atoms:
```
data_DySCl
_chemical_formula_sum 'Dy4 S4 Cl4'
_space_group_name_H-M_alt 'P 1 21/c 1'
_space_group_IT_number 14
_space_group_name_Hall '-P 2ybc'
_cell_length_a 6.6674
_cell_length_b 6.6958
_cell_length_c 6.8103
_cell_angle_alpha 90.00
_cell_angle_beta 100.88
_cell_angle_gamma 90.00
loop_
_atom_site_label
_atom_site_type_symbol
_atom_site_fract_x
_atom_site_fract_y
_atom_site_fract_z
Dy1 Dy 0.1883 0.0440 0.2939
S1 S 0.0623 0.7419 0.5113
Cl1 Cl 0.4349 0.1617 0.6645
```

Main lines, low angle first (2θ from 5° to 70°):
| index | 2θ/deg | d (Å) | intensity |
| --- | --- | --- | --- |
| 1 0 0 | 13.52 | 6.548 | 31.4 |
| 0 1 1 | 18.75 | 4.732 | 22.8 |
| 1 1 -1 | 21.65 | 4.104 | 100.0 |
| 1 1 1 | 24.64 | 3.613 | 84.7 |
| 0 0 2 | 26.65 | 3.345 | 41.1 |
| 2 1 -1 | 31.07 | 2.878 | 50.6 |
| 0 2 2 | 38.03 | 2.366 | 29.6 |
| 2 2 0 | 38.46 | 2.341 | 24.8 |
| 1 2 -2 | 38.70 | 2.327 | 33.5 |
| 0 1 3 | 42.78 | 2.114 | 35.2 |

***

Calculated PXRD pattern of Tm2Si2O7 for a wavelength of 1.5418 Å, from a GGA-PBE-relaxed structure.
Lines closer than 0.1° are merged.

Cell and atoms:
```
data_Tm2Si2O7
_chemical_formula_sum 'Tm8 Si8 O28'
_space_group_name_H-M_alt 'P -1'
_space_group_IT_number 2
_space_group_name_Hall '-P 1'
_cell_length_a 6.5904
_cell_length_b 6.6239
_cell_length_c 12.0559
_cell_angle_alpha 94.06
_cell_angle_beta 91.89
_cell_angle_gamma 92.45
loop_
_atom_site_label
_atom_site_type_symbol
_atom_site_fract_x
_atom_site_fract_y
_atom_site_fract_z
Tm1 Tm 0.0482 0.3274 0.1136
Tm2 Tm 0.1195 0.0871 0.3531
Tm3 Tm 0.3248 0.8261 0.1113
Tm4 Tm 0.3657 0.2134 0.6354
Si1 Si 0.1447 0.6226 0.3746
Si2 Si 0.1567 0.1482 0.8865
Si3 Si 0.3775 0.7233 0.5929
Si4 Si 0.4867 0.6650 0.8249
O1 O 0.0002 0.3337 0.9186
O2 O 0.0009 0.9831 0.8154
O3 O 0.0385 0.2287 0.5887
O4 O 0.0766 0.4094 0.3060
O5 O 0.2247 0.9023 0.6218
O6 O 0.2302 0.0825 0.0080
O7 O 0.2798 0.5717 0.4876
O8 O 0.2933 0.7821 0.3095
O9 O 0.2980 0.7044 0.9060
O10 O 0.3519 0.2096 0.8160
O11 O 0.3516 0.4875 0.1245
O12 O 0.3870 0.1336 0.2139
O13 O 0.4001 0.5625 0.6933
O14 O 0.4105 0.1753 0.4498
```

Main lines, low angle first (2θ from 5° to 70°):
| index | 2θ/deg | d (Å) | intensity |
| --- | --- | --- | --- |
| 0 1 0 | 13.42 | 6.597 | 32.4 |
| 1 0 -1 | 15.12 | 5.861 | 31.4 |
| -1 1 1 | 20.21 | 4.394 | 60.6 |
| 1 1 -1 | 20.33 | 4.369 | 47.2 |
| 0 0 4 | 29.74 | 3.004 | 100.0 |
| 0 2 -2 | 29.93 | 2.985 | 34.0 |
| 2 0 -2 | 30.50 | 2.931 | 37.5 |
| 2 1 1 | 32.29 | 2.773 | 41.4 |
| 1 2 -2 | 33.24 | 2.696 | 35.2 |
| 2 -1 2 | 33.39 | 2.683 | 46.1 |

***

Calculated PXRD pattern of In for a wavelength of 1.5418 Å, from a GGA-PBE-relaxed structure.
Lines closer than 0.1° are merged.

Cell and atoms:
```
data_In
_chemical_formula_sum 'In4'
_space_group_name_H-M_alt 'F m -3 m'
_space_group_IT_number 225
_space_group_name_Hall '-F 4 2 3'
_cell_length_a 4.7961
_cell_length_b 4.7961
_cell_length_c 4.7961
_cell_angle_alpha 90.00
_cell_angle_beta 90.00
_cell_angle_gamma 90.00
loop_
_atom_site_label
_atom_site_type_symbol
_atom_site_fract_x
_atom_site_fract_y
_atom_site_fract_z
In1 In 0.0000 0.0000 0.0000
```

Main lines, low angle first (2θ from 5° to 70°):
| index | 2θ/deg | d (Å) | intensity |
| --- | --- | --- | --- |
| 1 1 1 | 32.33 | 2.769 | 100.0 |
| 2 0 0 | 37.51 | 2.398 | 49.9 |
| 2 2 0 | 54.08 | 1.696 | 33.5 |
| 3 1 1 | 64.43 | 1.446 | 38.9 |
| 2 2 2 | 67.67 | 1.385 | 11.2 |